No. 1
Simulated X-ray diffraction stick pattern
Compound: DyY2Er2Tm2Cu2Te2
Radiation: Cu Kα (λ = 1.5418 Å)
Structure: a cell relaxed with PBE

```
data_DyY2Er2Tm2Cu2Te2
_chemical_formula_sum 'Dy2 Y4 Er4 Tm4 Cu4 Te4'
_symmetry_space_group_name_H-M 'I m m 2'
_symmetry_Int_Tables_number 44
_cell_length_a 3.947
_cell_length_b 15.431
_cell_length_c 9.522
_cell_angle_alpha 90.00
_cell_angle_beta 90.00
_cell_angle_gamma 90.00
loop_
_symmetry_equiv_pos_as_xyz
'x,y,z'
'-x,-y,z'
'-x,y,z'
'x,-y,z'
'x+1/2,y+1/2,z+1/2'
'-x+1/2,-y+1/2,z+1/2'
'-x+1/2,y+1/2,z+1/2'
'x+1/2,-y+1/2,z+1/2'
loop_
_atom_site_label
_atom_site_type_symbol
_atom_site_fract_x
_atom_site_fract_y
_atom_site_fract_z
Dy1 Dy 0.000 0.000 0.000
Y1 Y 0.000 0.356 0.260
Er1 Er 0.000 0.130 0.414
Tm1 Tm 0.000 0.315 0.619
Cu1 Cu 0.000 0.239 0.928
Te1 Te 0.000 0.000 0.660
Te2 Te 0.000 0.500 0.763
```

Top 6 peaks for 15 to 90 degrees two-theta, by angle:
h k l  Position (°2θ)  intensity
1 1 2  29.97  50
0 3 3  33.17  71
1 4 1  33.83  100
1 3 2  34.28  68
2 0 0  45.99  32
2 3 3  57.87  29

No. 2
Simulated X-ray diffraction stick pattern
Compound: TbDy2In3Fe2Cu
Radiation: Cu Kα (λ = 1.5418 Å)
Structure: a cell relaxed with PBE

```
data_TbDy2In3Fe2Cu
_chemical_formula_sum 'Tb2 Dy4 In6 Fe4 Cu2'
_symmetry_space_group_name_H-M 'A m m 2'
_symmetry_Int_Tables_number 38
_cell_length_a 3.905
_cell_length_b 12.927
_cell_length_c 7.462
_cell_angle_alpha 90.00
_cell_angle_beta 90.00
_cell_angle_gamma 90.00
loop_
_symmetry_equiv_pos_as_xyz
'x,y,z'
'-x,-y,z'
'-x,y,z'
'x,-y,z'
'x,y+1/2,z+1/2'
'-x,-y+1/2,z+1/2'
'-x,y+1/2,z+1/2'
'x,-y+1/2,z+1/2'
loop_
_atom_site_label
_atom_site_type_symbol
_atom_site_fract_x
_atom_site_fract_y
_atom_site_fract_z
Tb1 Tb 0.000 0.000 0.000
Dy1 Dy 0.000 0.205 0.617
In1 In 0.500 0.000 0.668
In2 In 0.500 0.129 0.283
Fe1 Fe 0.500 0.167 0.911
Cu1 Cu 0.000 0.000 0.411
```

Top 6 peaks for 15 to 90 degrees two-theta, by angle:
h k l  Position (°2θ)  intensity
1 3 1  33.21  100
1 2 2  36.07  72
0 5 1  36.79  50
0 6 0  41.93  23
1 2 4  56.49  23
1 7 3  67.58  24

No. 3
Simulated X-ray diffraction stick pattern
Compound: DyGa6Cu
Radiation: Cu Kα (λ = 1.5418 Å)
Structure: a cell relaxed with PBE

```
data_DyGa6Cu
_chemical_formula_sum 'Dy1 Ga6 Cu1'
_symmetry_space_group_name_H-M 'P -6 m 2'
_symmetry_Int_Tables_number 187
_symmetry_space_group_name_Hall 'P -6 2'
_cell_length_a 6.2895
_cell_length_b 6.2895
_cell_length_c 4.2970
_cell_angle_alpha 90.00
_cell_angle_beta 90.00
_cell_angle_gamma 120.00
loop_
_atom_site_label
_atom_site_type_symbol
_atom_site_fract_x
_atom_site_fract_y
_atom_site_fract_z
Dy1 Dy 0.0000 0.0000 0.0000
Ga1 Ga 0.0351 0.5175 0.0000
Ga2 Ga 0.3782 0.1891 0.5000
Cu1 Cu 0.3333 0.6667 0.5000
```

Top 6 peaks for 15 to 90 degrees two-theta, by angle:
h k l  Position (°2θ)  intensity
1 0 1  26.42  16
2 0 0  32.89  28
2 0 1  39.16  100
0 0 2  42.06  20
2 2 0  58.72  16
2 2 2  74.87  30

No. 4
Simulated X-ray diffraction stick pattern
Compound: Gd2DyCu4Ge4
Radiation: Cu Kα (λ = 1.5418 Å)
Structure: a cell relaxed with PBE

```
data_Gd2DyCu4Ge4
_chemical_formula_sum 'Gd4 Dy2 Cu8 Ge8'
_symmetry_space_group_name_H-M 'I m m m'
_symmetry_Int_Tables_number 71
_symmetry_space_group_name_Hall '-I 2 2'
_cell_length_a 4.219
_cell_length_b 6.658
_cell_length_c 13.986
_cell_angle_alpha 90.00
_cell_angle_beta 90.00
_cell_angle_gamma 90.00
loop_
_atom_site_label
_atom_site_type_symbol
_atom_site_fract_x
_atom_site_fract_y
_atom_site_fract_z
Gd1 Gd 0.000 0.000 0.130
Dy1 Dy 0.000 0.500 0.000
Cu1 Cu 0.000 0.189 0.331
Ge1 Ge 0.000 0.308 0.500
Ge2 Ge 0.000 0.500 0.216
```

Top 6 peaks for 15 to 90 degrees two-theta, by angle:
h k l  Position (°2θ)  intensity
0 1 5  34.79  28
1 2 1  34.93  92
1 1 4  35.98  100
0 0 6  38.63  20
2 0 0  42.87  38
0 3 3  45.25  28

No. 5
Simulated X-ray diffraction stick pattern
Compound: GdDy2Cu4Ge4
Radiation: Cu Kα (λ = 1.5418 Å)
Structure: a cell relaxed with PBE

```
data_GdDy2Cu4Ge4
_chemical_formula_sum 'Gd2 Dy4 Cu8 Ge8'
_symmetry_space_group_name_H-M 'I m m m'
_symmetry_Int_Tables_number 71
_symmetry_space_group_name_Hall '-I 2 2'
_cell_length_a 4.199
_cell_length_b 6.673
_cell_length_c 13.953
_cell_angle_alpha 90.00
_cell_angle_beta 90.00
_cell_angle_gamma 90.00
loop_
_atom_site_label
_atom_site_type_symbol
_atom_site_fract_x
_atom_site_fract_y
_atom_site_fract_z
Gd1 Gd 0.000 0.000 0.000
Dy1 Dy 0.000 0.500 0.130
Cu1 Cu 0.000 0.310 0.331
Ge1 Ge 0.000 0.000 0.217
Ge2 Ge 0.000 0.191 0.500
```

Top 6 peaks for 15 to 90 degrees two-theta, by angle:
h k l  Position (°2θ)  intensity
1 2 1  34.92  100
1 1 4  36.08  85
0 0 6  38.73  17
2 0 0  43.08  31
0 3 3  45.19  24
2 3 3  64.20  16

No. 6
Simulated X-ray diffraction stick pattern
Compound: GdDy2Cu4Sn2Ge2
Radiation: Cu Kα (λ = 1.5418 Å)
Structure: a cell relaxed with PBE

```
data_GdDy2Cu4Sn2Ge2
_chemical_formula_sum 'Gd2 Dy4 Cu8 Sn4 Ge4'
_symmetry_space_group_name_H-M 'I m m m'
_symmetry_Int_Tables_number 71
_symmetry_space_group_name_Hall '-I 2 2'
_cell_length_a 4.347
_cell_length_b 6.727
_cell_length_c 14.514
_cell_angle_alpha 90.00
_cell_angle_beta 90.00
_cell_angle_gamma 90.00
loop_
_atom_site_label
_atom_site_type_symbol
_atom_site_fract_x
_atom_site_fract_y
_atom_site_fract_z
Gd1 Gd 0.000 0.000 0.000
Dy1 Dy 0.000 0.500 0.125
Cu1 Cu 0.000 0.310 0.341
Sn1 Sn 0.000 0.000 0.218
Ge1 Ge 0.000 0.190 0.500
```

Top 6 peaks for 15 to 90 degrees two-theta, by angle:
h k l  Position (°2θ)  intensity
0 1 5  33.63  29
1 2 1  34.27  75
1 1 4  34.86  100
2 0 0  41.55  34
0 3 3  44.54  17
0 4 0  54.50  22

No. 7
Simulated X-ray diffraction stick pattern
Compound: GdDyInCu2
Radiation: Cu Kα (λ = 1.5418 Å)
Structure: a cell relaxed with PBE

```
data_GdDyInCu2
_chemical_formula_sum 'Gd2 Dy2 In2 Cu4'
_symmetry_space_group_name_H-M 'A m m 2'
_symmetry_Int_Tables_number 38
_cell_length_a 3.609
_cell_length_b 4.290
_cell_length_c 14.025
_cell_angle_alpha 90.00
_cell_angle_beta 90.00
_cell_angle_gamma 90.00
loop_
_symmetry_equiv_pos_as_xyz
'x,y,z'
'-x,-y,z'
'-x,y,z'
'x,-y,z'
'x,y+1/2,z+1/2'
'-x,-y+1/2,z+1/2'
'-x,y+1/2,z+1/2'
'x,-y+1/2,z+1/2'
loop_
_atom_site_label
_atom_site_type_symbol
_atom_site_fract_x
_atom_site_fract_y
_atom_site_fract_z
Gd1 Gd 0.000 0.000 0.000
Dy1 Dy 0.000 0.000 0.266
In1 In 0.500 0.000 0.634
Cu1 Cu 0.500 0.000 0.431
Cu2 Cu 0.500 0.000 0.834
```

Top 6 peaks for 15 to 90 degrees two-theta, by angle:
h k l  Position (°2θ)  intensity
0 1 3  28.24  37
1 1 1  33.06  100
1 0 4  35.70  67
1 1 3  37.84  31
0 1 5  38.34  42
1 2 4  56.38  35

No. 8
Simulated X-ray diffraction stick pattern
Compound: GdDy2In3Cu3
Radiation: Cu Kα (λ = 1.5418 Å)
Structure: a cell relaxed with PBE

```
data_GdDy2In3Cu3
_chemical_formula_sum 'Gd2 Dy4 In6 Cu6'
_symmetry_space_group_name_H-M 'A m m 2'
_symmetry_Int_Tables_number 38
_cell_length_a 3.876
_cell_length_b 13.050
_cell_length_c 7.530
_cell_angle_alpha 90.00
_cell_angle_beta 90.00
_cell_angle_gamma 90.00
loop_
_symmetry_equiv_pos_as_xyz
'x,y,z'
'-x,-y,z'
'-x,y,z'
'x,-y,z'
'x,y+1/2,z+1/2'
'-x,-y+1/2,z+1/2'
'-x,y+1/2,z+1/2'
'x,-y+1/2,z+1/2'
loop_
_atom_site_label
_atom_site_type_symbol
_atom_site_fract_x
_atom_site_fract_y
_atom_site_fract_z
Gd1 Gd 0.000 0.000 0.000
Dy1 Dy 0.000 0.205 0.615
In1 In 0.500 0.000 0.665
In2 In 0.500 0.128 0.283
Cu1 Cu 0.000 0.000 0.411
Cu2 Cu 0.500 0.167 0.910
```

Top 6 peaks for 15 to 90 degrees two-theta, by angle:
h k l  Position (°2θ)  intensity
1 0 2  33.17  100
1 2 2  35.99  73
0 5 1  36.44  51
0 6 0  41.53  24
2 5 1  60.79  23
1 7 3  67.04  25

No. 9
Simulated X-ray diffraction stick pattern
Compound: Gd2DyCu4Si4
Radiation: Cu Kα (λ = 1.5418 Å)
Structure: a cell relaxed with PBE

```
data_Gd2DyCu4Si4
_chemical_formula_sum 'Gd4 Dy2 Cu8 Si8'
_symmetry_space_group_name_H-M 'I m m m'
_symmetry_Int_Tables_number 71
_symmetry_space_group_name_Hall '-I 2 2'
_cell_length_a 3.997
_cell_length_b 4.050
_cell_length_c 23.682
_cell_angle_alpha 90.00
_cell_angle_beta 90.00
_cell_angle_gamma 90.00
loop_
_atom_site_label
_atom_site_type_symbol
_atom_site_fract_x
_atom_site_fract_y
_atom_site_fract_z
Gd1 Gd 0.000 0.000 0.149
Dy1 Dy 0.000 0.500 0.000
Cu1 Cu 0.000 0.000 0.404
Cu2 Cu 0.000 0.500 0.250
Si1 Si 0.000 0.000 0.306
Si2 Si 0.000 0.500 0.450
```

Top 6 peaks for 15 to 90 degrees two-theta, by angle:
h k l  Position (°2θ)  intensity
0 1 3  24.71  31
1 0 7  34.74  41
1 1 4  34.99  100
0 2 0  44.76  21
2 0 0  45.38  20
1 2 7  57.87  18

No. 10
Simulated X-ray diffraction stick pattern
Compound: GdDyTlCu2
Radiation: Cu Kα (λ = 1.5418 Å)
Structure: a cell relaxed with PBE

```
data_GdDyTlCu2
_chemical_formula_sum 'Gd2 Dy2 Tl2 Cu4'
_symmetry_space_group_name_H-M 'A m m 2'
_symmetry_Int_Tables_number 38
_cell_length_a 3.629
_cell_length_b 4.291
_cell_length_c 14.128
_cell_angle_alpha 90.00
_cell_angle_beta 90.00
_cell_angle_gamma 90.00
loop_
_symmetry_equiv_pos_as_xyz
'x,y,z'
'-x,-y,z'
'-x,y,z'
'x,-y,z'
'x,y+1/2,z+1/2'
'-x,-y+1/2,z+1/2'
'-x,y+1/2,z+1/2'
'x,-y+1/2,z+1/2'
loop_
_atom_site_label
_atom_site_type_symbol
_atom_site_fract_x
_atom_site_fract_y
_atom_site_fract_z
Gd1 Gd 0.000 0.000 0.000
Dy1 Dy 0.000 0.000 0.269
Tl1 Tl 0.500 0.000 0.635
Cu1 Cu 0.500 0.000 0.431
Cu2 Cu 0.500 0.000 0.837
```

Top 6 peaks for 15 to 90 degrees two-theta, by angle:
h k l  Position (°2θ)  intensity
0 1 3  28.14  46
1 1 1  32.94  100
1 0 4  35.46  63
0 1 5  38.15  49
0 2 0  42.12  27
1 2 4  56.21  34

No. 11
Simulated X-ray diffraction stick pattern
Compound: DyHo2Cu4Si2Ge2
Radiation: Cu Kα (λ = 1.5418 Å)
Structure: a cell relaxed with PBE

```
data_DyHo2Cu4Si2Ge2
_chemical_formula_sum 'Dy2 Ho4 Cu8 Si4 Ge4'
_symmetry_space_group_name_H-M 'I m m m'
_symmetry_Int_Tables_number 71
_symmetry_space_group_name_Hall '-I 2 2'
_cell_length_a 4.172
_cell_length_b 6.602
_cell_length_c 13.790
_cell_angle_alpha 90.00
_cell_angle_beta 90.00
_cell_angle_gamma 90.00
loop_
_atom_site_label
_atom_site_type_symbol
_atom_site_fract_x
_atom_site_fract_y
_atom_site_fract_z
Dy1 Dy 0.000 0.000 0.000
Ho1 Ho 0.000 0.500 0.129
Cu1 Cu 0.000 0.309 0.336
Si1 Si 0.000 0.183 0.500
Ge1 Ge 0.000 0.000 0.217
```

Top 6 peaks for 15 to 90 degrees two-theta, by angle:
h k l  Position (°2θ)  intensity
1 2 1  35.27  100
1 1 4  36.45  92
1 2 3  39.97  19
2 0 0  43.38  30
0 3 3  45.71  21
1 0 9  64.83  23

No. 12
Simulated X-ray diffraction stick pattern
Compound: Dy2Tm2InCu2Ge4
Radiation: Cu Kα (λ = 1.5418 Å)
Structure: a cell relaxed with PBE

```
data_Dy2Tm2InCu2Ge4
_chemical_formula_sum 'Dy4 Tm4 In2 Cu4 Ge8'
_symmetry_space_group_name_H-M 'C 1 2/m 1'
_symmetry_Int_Tables_number 12
_cell_length_a 15.554
_cell_length_b 4.245
_cell_length_c 7.090
_cell_angle_alpha 90.00
_cell_angle_beta 108.54
_cell_angle_gamma 90.00
loop_
_symmetry_equiv_pos_as_xyz
'x,y,z'
'-x,-y,-z'
'-x,y,-z'
'x,-y,z'
'x+1/2,y+1/2,z'
'-x+1/2,-y+1/2,-z'
'-x+1/2,y+1/2,-z'
'x+1/2,-y+1/2,z'
loop_
_atom_site_label
_atom_site_type_symbol
_atom_site_fract_x
_atom_site_fract_y
_atom_site_fract_z
Dy1 Dy 0.089 0.000 0.381
Tm1 Tm 0.153 0.000 0.931
In1 In 0.000 0.500 0.000
Cu1 Cu 0.218 0.500 0.634
Ge1 Ge 0.064 0.500 0.662
Ge2 Ge 0.199 0.500 0.246
```

Top 6 peaks for 15 to 90 degrees two-theta, by angle:
h k l  Position (°2θ)  intensity
3 1 1  33.31  79
3 1 -2  34.37  100
5 1 -1  35.98  41
1 1 2  36.09  65
5 1 0  37.12  41
0 2 0  42.59  59